The following is a theoretical powder diffraction line list of Fe5O7F3. It was derived from a crystal structure in Alexandria, relaxed with PBE+U, using Cu Kα.
Lines closer than 0.1° are merged.

Structure:
Unit cell a=4.6283 b=4.6283 c=15.0295 alpha=90.25 beta=90.25 gamma=91.51
Element x y z (fractional)
Fe 0.0000 0.0000 0.0000
Fe 0.0007 0.9983 0.8042
Fe 0.0017 0.9993 0.1958
Fe 0.0343 0.0176 0.4029
Fe 0.4685 0.5219 0.2916
Fe 0.4781 0.5315 0.7084
Fe 0.5049 0.4951 0.5000
Fe 0.5246 0.4720 0.9006
Fe 0.5280 0.4754 0.0994
Fe 0.9824 0.9657 0.5971
O 0.1730 0.8136 0.7054
O 0.1864 0.8270 0.2946
O 0.2069 0.7931 0.5000
O 0.3011 0.2952 0.8052
O 0.3034 0.2971 0.1933
O 0.3180 0.2959 0.0000
O 0.3213 0.3230 0.3976
O 0.6770 0.6787 0.6024
O 0.7029 0.6966 0.8067
O 0.7041 0.6820 0.0000
O 0.7048 0.6989 0.1948
O 0.8002 0.1998 0.5000
O 0.8235 0.1743 0.0973
O 0.8257 0.1765 0.9027
F 0.2013 0.7984 0.9028
F 0.2016 0.7987 0.0972
F 0.2862 0.2953 0.6052
F 0.7047 0.7138 0.3948
F 0.7905 0.1932 0.7039
F 0.8068 0.2095 0.2961

Main lines, most intense first (10° ≤ 2θ ≤ 80°):
d = 3.316 Å, 2θ 26.89, rel. 100.0; d = 3.229 Å, 2θ 27.62, rel. 97.1; d = 2.526 Å, 2θ 35.54, rel. 53.4; d = 2.515 Å, 2θ 35.69, rel. 50.4; d = 1.718 Å, 2θ 53.31, rel. 29.2; d = 1.369 Å, 2θ 68.52, rel. 28.8; d = 1.715 Å, 2θ 53.42, rel. 28.2; d = 1.697 Å, 2θ 54.04, rel. 27.8; d = 1.688 Å, 2θ 54.36, rel. 26.2; d = 1.375 Å, 2θ 68.22, rel. 19.3; d = 2.313 Å, 2θ 38.93, rel. 18.0; d = 1.615 Å, 2θ 57.04, rel. 16.0